Theoretical PXRD pattern of PmU2N3 for a wavelength of 1.5418 Å, from a crystal structure in Alexandria, relaxed with GGA-PBE.

Atomic structure:
```
data_PmU2N3
_chemical_formula_sum 'Pm4 U8 N12'
_space_group_name_H-M_alt 'C m c m'
_space_group_IT_number 63
_space_group_name_Hall '-C 2c 2'
_cell_length_a 9.8079
_cell_length_b 8.7348
_cell_length_c 5.3886
_cell_angle_alpha 90.00
_cell_angle_beta 90.00
_cell_angle_gamma 90.00
loop_
_atom_site_label
_atom_site_type_symbol
_atom_site_fract_x
_atom_site_fract_y
_atom_site_fract_z
Pm1 Pm 0.0000 0.1293 0.2500
U1 U 0.1768 0.5000 0.0000
N1 N 0.0000 0.4200 0.7500
N2 N 0.1586 0.0701 0.7500
```

Most intense lines, 10° ≤ 2θ ≤ 90°, sorted by position:
d 4.367, rel. 100, hkl 0 2 0
d 3.261, rel. 35, hkl 2 2 0
d 3.062, rel. 97, hkl 3 1 0
d 2.791, rel. 45, hkl 1 3 0
d 2.490, rel. 40, hkl 1 1 2
d 1.692, rel. 44, hkl 3 3 2